This entry pairs a crystal structure of La2SmGa2Ag2 with its computed powder XRD pattern. Radiation: Cu Kα (λ = 1.5418 Å). Structure: a cell relaxed with PBE.
No peak broadening, texture or thermal motion is included.

Cell and atoms:
abc: 4.6772 4.6772 27.4423
angles: 90.00 90.00 120.00
Space group R-3m (No. 166, hexagonal axes)
Unique sites:
La: 0.0000 0.0000 0.1293 (multiplicity 6)
Sm: 0.0000 0.0000 0.0000 (multiplicity 3)
Ga: 0.0000 0.0000 0.2640 (multiplicity 6)
Ag: 0.0000 0.0000 0.3957 (multiplicity 6)

The 10 most intense peaks (5 to 70 degrees two-theta), sorted by position:
25.54°, I = 15, (1 0 4)
31.76°, I = 64, (1 0 7)
34.26°, I = 90, (0 1 8)
38.49°, I = 100, (1 1 0)
50.74°, I = 17, (0 2 7)
52.47°, I = 26, (2 0 8)
64.69°, I = 38, (1 1 15)
65.45°, I = 16, (2 1 7)
66.93°, I = 25, (1 2 8)
69.64°, I = 17, (3 0 0)